This entry pairs a crystal structure of Na3In2Au3 with its computed PXRD pattern. Radiation: copper Kα. Structure: a crystal structure in Alexandria, relaxed with GGA-PBE.
Intensities are scaled so that the largest is 100.

Cell and atoms:
Cell lengths 8.4335, 8.4335, 6.0441 Å; angles 90.00, 90.00, 120.00 degrees
Element x y z (fractional)
Na: 0.0000 0.2468 0.2500
Na: 0.0000 0.7532 0.7500
Na: 0.2468 0.0000 0.2500
Na: 0.2468 0.2468 0.7500
Na: 0.7532 0.0000 0.7500
Na: 0.7532 0.7532 0.2500
In: 0.3333 0.6667 0.0000
In: 0.3333 0.6667 0.5000
In: 0.6667 0.3333 0.0000
In: 0.6667 0.3333 0.5000
Au: 0.0000 0.4078 0.7500
Au: 0.0000 0.5922 0.2500
Au: 0.4078 0.0000 0.7500
Au: 0.4078 0.4078 0.2500
Au: 0.5922 0.0000 0.2500
Au: 0.5922 0.5922 0.7500

The 10 most intense peaks (2θ from 5° to 70°), by angle:
2θ (°), Rel. int., hkl
12.12, 100, 1 0 0
25.76, 87, 1 1 1
35.76, 63, 2 1 1
36.58, 76, 1 1 2
36.92, 38, 3 0 0
38.67, 51, 2 0 2
44.74, 22, 3 1 0
47.33, 57, 3 1 1
63.48, 19, 3 2 2
65.32, 22, 3 1 3